# 1
# Ag2AsCl
Simulated X-ray diffraction stick pattern, Cu Kα (weighted mean of Kα1 and Kα2). Input: the GGA-PBE geometry in Alexandria.
Lines closer than 0.1° are merged.

Principal peaks in the range 5 to 70 degrees two-theta, in order of falling intensity:
d (Å)	I_rel
2.463	100.0
3.208	52.3
1.669	28.7
1.626	26.3
1.887	21.7
3.620	16.9
2.829	9.2
1.604	6.3
2.122	4.1
1.673	3.8

Structure:
Cell lengths 6.948, 6.948, 6.948 Å; angles 148.49, 148.49, 45.16 degrees
Positions (direct):
Ag  0.000  0.000  0.000
Ag  0.750  0.250  0.500
As  0.250  0.750  0.500
Cl  0.500  0.500  0.000

# 2
# CuAg7As4ClO14
Simulated X-ray diffraction stick pattern, Cu Kα (weighted mean of Kα1 and Kα2). Input: the GGA-PBE geometry in Alexandria.
Lines closer than 0.1° are merged.

Principal peaks in the range 5 to 70 degrees two-theta, in order of falling intensity:
d (Å)	I_rel
3.149	100.0
2.768	77.5
2.916	66.3
2.730	64.4
2.743	36.4
2.896	31.5
3.009	21.6
2.230	19.9
2.879	18.1
2.286	17.3

Structure:
Cell lengths 7.017, 7.017, 16.661 Å; angles 93.21, 93.21, 82.19 degrees
Positions (direct):
Cu  0.006  0.994  0.500
Cu  0.994  0.006  0.000
Ag  0.132  0.674  0.835
Ag  0.235  0.360  0.157
Ag  0.238  0.704  0.336
Ag  0.280  0.767  0.672
Ag  0.360  0.235  0.657
Ag  0.385  0.944  0.176
Ag  0.401  0.622  0.985
Ag  0.622  0.401  0.485
Ag  0.634  0.806  0.846
Ag  0.674  0.132  0.335
Ag  0.704  0.238  0.836
Ag  0.767  0.280  0.172
Ag  0.806  0.634  0.346
Ag  0.944  0.385  0.676
As  0.128  0.475  0.500
As  0.157  0.185  0.343
As  0.185  0.157  0.843
As  0.475  0.128  0.000
As  0.527  0.902  0.507
As  0.802  0.908  0.664
As  0.902  0.527  0.007
As  0.908  0.802  0.164
Cl  0.460  0.534  0.771
Cl  0.534  0.460  0.271
O  0.004  0.909  0.608
O  0.018  0.305  0.031
O  0.029  0.352  0.812
O  0.032  0.679  0.452
O  0.043  0.328  0.270
O  0.055  0.691  0.986
O  0.064  0.995  0.888
O  0.137  0.708  0.193
O  0.258  0.335  0.420
O  0.305  0.018  0.531
O  0.314  0.498  0.569
O  0.328  0.043  0.770
O  0.335  0.258  0.920
O  0.352  0.029  0.312
O  0.354  0.957  0.037
O  0.498  0.314  0.069
O  0.524  0.711  0.439
O  0.625  0.798  0.600
O  0.679  0.032  0.952
O  0.691  0.055  0.486
O  0.708  0.137  0.693
O  0.711  0.524  0.939
O  0.745  0.855  0.236
O  0.798  0.625  0.100
O  0.855  0.745  0.736
O  0.909  0.004  0.108
O  0.957  0.354  0.537
O  0.995  0.064  0.388

# 3
# KAg2AsCl8
Simulated X-ray diffraction stick pattern, Cu Kα (weighted mean of Kα1 and Kα2). Input: the GGA-PBE geometry in Alexandria.
Lines closer than 0.1° are merged.

Principal peaks in the range 5 to 70 degrees two-theta, in order of falling intensity:
d (Å)	I_rel
6.334	100.0
2.665	38.8
5.695	36.5
2.438	36.2
3.758	33.0
2.613	31.8
5.436	28.2
1.764	18.0
2.559	16.9
3.939	16.5

Structure:
Cell lengths 6.238, 8.192, 8.214 Å; angles 101.19, 103.42, 106.50 degrees
Positions (direct):
K  0.000  0.000  0.000
Ag  0.333  0.779  0.351
Ag  0.667  0.221  0.649
As  0.500  0.500  0.000
Cl  0.095  0.361  0.833
Cl  0.265  0.061  0.413
Cl  0.392  0.492  0.271
Cl  0.468  0.789  0.013
Cl  0.532  0.211  0.987
Cl  0.608  0.508  0.729
Cl  0.735  0.939  0.587
Cl  0.905  0.639  0.167